Record 1
Starting from a structure optimized by DFT (PBE+U), the powder XRD pattern of CoAg2F6 was computed for copper Kα.
No peak broadening, texture or thermal motion is included.

Structure:
Lattice parameters (Å, degrees): 5.7278 8.8269 6.5931 90.00 123.60 90.00
Positions (direct):
Co  0.0000  0.0000  0.0000
Co  0.0000  0.5000  0.5000
Ag  0.2946  0.1145  0.7157
Ag  0.2946  0.3855  0.2157
Ag  0.7054  0.6145  0.7843
Ag  0.7054  0.8855  0.2843
F  0.0818  0.0161  0.3389
F  0.0818  0.4839  0.8389
F  0.2354  0.6650  0.5960
F  0.2354  0.8350  0.0960
F  0.3161  0.1331  0.0686
F  0.3161  0.3669  0.5686
F  0.6839  0.6331  0.4314
F  0.6839  0.8669  0.9314
F  0.7646  0.1650  0.9040
F  0.7646  0.3350  0.4040
F  0.9182  0.5161  0.1611
F  0.9182  0.9839  0.6611

Most intense lines, 2θ = 15–90°, sorted by position:
2θ = 20.1°, I = 24
2θ = 21.2°, I = 67
2θ = 25.9°, I = 100
2θ = 27.1°, I = 53
2θ = 32.6°, I = 42
2θ = 33.2°, I = 29
2θ = 35.9°, I = 39
2θ = 37.7°, I = 46
2θ = 43.2°, I = 30
2θ = 56.8°, I = 26

***

Record 2
Starting from a structure optimized by DFT (PBE+U), the powder XRD pattern of CoAg2F4 was computed for copper Kα.
No peak broadening, texture or thermal motion is included.

Structure:
Lattice parameters (Å, degrees): 5.5854 12.8373 5.6437 90.00 90.00 90.00
Positions (direct):
Co  0.0000  0.0000  0.0000
Co  0.0000  0.5000  0.5000
Co  0.5000  0.0000  0.5000
Co  0.5000  0.5000  0.0000
Ag  0.0329  0.1633  0.4896
Ag  0.0329  0.3367  0.9896
Ag  0.4671  0.6633  0.4896
Ag  0.4671  0.8367  0.9896
Ag  0.5329  0.1633  0.0104
Ag  0.5329  0.3367  0.5104
Ag  0.9671  0.6633  0.0104
Ag  0.9671  0.8367  0.5104
F  0.0210  0.6563  0.5748
F  0.0210  0.8437  0.0748
F  0.1935  0.5279  0.1940
F  0.1935  0.9721  0.6940
F  0.3065  0.0279  0.1940
F  0.3065  0.4721  0.6940
F  0.4790  0.1563  0.5748
F  0.4790  0.3437  0.0748
F  0.5210  0.6563  0.9252
F  0.5210  0.8437  0.4252
F  0.6935  0.5279  0.3060
F  0.6935  0.9721  0.8060
F  0.8065  0.0279  0.3060
F  0.8065  0.4721  0.8060
F  0.9790  0.1563  0.9252
F  0.9790  0.3437  0.4252

Most intense lines, 2θ = 15–90°, sorted by position:
2θ = 30.7°, I = 100
2θ = 31.7°, I = 30
2θ = 32.0°, I = 30
2θ = 42.2°, I = 20
2θ = 45.7°, I = 26
2θ = 53.8°, I = 19
2θ = 54.0°, I = 13
2θ = 55.9°, I = 23
2θ = 56.3°, I = 14
2θ = 64.0°, I = 16

***

Record 3
Starting from a structure optimized by DFT (PBE+U), the powder XRD pattern of CoAg3F7 was computed for copper Kα.
No peak broadening, texture or thermal motion is included.

Structure:
Lattice parameters (Å, degrees): 5.3526 5.3526 5.3526 90.41 90.41 90.41
Positions (direct):
Co  0.0000  0.0000  0.0000
Ag  0.0505  0.5256  0.5256
Ag  0.5256  0.0505  0.5256
Ag  0.5256  0.5256  0.0505
F  0.2504  0.7787  0.7787
F  0.2620  0.2620  0.8688
F  0.2620  0.8688  0.2620
F  0.7787  0.2504  0.7787
F  0.7787  0.7787  0.2504
F  0.7813  0.7813  0.7813
F  0.8688  0.2620  0.2620

Most intense lines, 2θ = 15–90°, sorted by position:
2θ = 28.8°, I = 100
2θ = 29.1°, I = 25
2θ = 33.5°, I = 28
2θ = 37.5°, I = 9
2θ = 47.9°, I = 34
2θ = 48.3°, I = 33
2θ = 56.9°, I = 12
2θ = 57.0°, I = 21
2θ = 57.4°, I = 13
2θ = 77.5°, I = 10

***

Record 4
Starting from a structure optimized by DFT (PBE+U), the powder XRD pattern of CoAgF5 was computed for copper Kα.
No peak broadening, texture or thermal motion is included.

Structure:
Lattice parameters (Å, degrees): 3.8670 6.5719 7.9689 90.00 90.00 90.00
Positions (direct):
Co  0.0000  0.0000  0.0000
Co  0.5000  0.5000  0.5000
Ag  0.0000  0.0000  0.5000
Ag  0.5000  0.5000  0.0000
F  0.0000  0.0000  0.2322
F  0.0000  0.0000  0.7678
F  0.0000  0.2981  0.0000
F  0.0000  0.5000  0.5000
F  0.0000  0.7019  0.0000
F  0.5000  0.0000  0.0000
F  0.5000  0.2019  0.5000
F  0.5000  0.5000  0.2678
F  0.5000  0.5000  0.7322
F  0.5000  0.7981  0.5000

Most intense lines, 2θ = 15–90°, sorted by position:
2θ = 22.3°, I = 91
2θ = 26.7°, I = 100
2θ = 27.1°, I = 59
2θ = 35.1°, I = 32
2θ = 35.4°, I = 21
2θ = 37.7°, I = 23
2θ = 45.5°, I = 24
2θ = 47.0°, I = 22
2θ = 47.7°, I = 29
2θ = 53.6°, I = 26

***

Record 5
Starting from a structure optimized by DFT (PBE+U), the powder XRD pattern of InCoAgF6 was computed for copper Kα.
No peak broadening, texture or thermal motion is included.

Structure:
Lattice parameters (Å, degrees): 5.6102 5.6102 10.2404 90.00 90.00 120.00
Positions (direct):
In  0.3333  0.6667  0.2500
In  0.6667  0.3333  0.7500
Co  0.3333  0.6667  0.7500
Co  0.6667  0.3333  0.2500
Ag  0.0000  0.0000  0.0000
Ag  0.0000  0.0000  0.5000
F  0.0067  0.3683  0.6433
F  0.0067  0.6385  0.8567
F  0.3615  0.3683  0.8567
F  0.3615  0.9933  0.6433
F  0.3683  0.0067  0.1433
F  0.3683  0.3615  0.3567
F  0.6317  0.6385  0.6433
F  0.6317  0.9933  0.8567
F  0.6385  0.0067  0.3567
F  0.6385  0.6317  0.1433
F  0.9933  0.3615  0.1433
F  0.9933  0.6317  0.3567

Most intense lines, 2θ = 15–90°, sorted by position:
2θ = 17.3°, I = 9
2θ = 25.3°, I = 100
2θ = 31.9°, I = 35
2θ = 36.5°, I = 11
2θ = 41.1°, I = 24
2θ = 48.1°, I = 46
2θ = 53.0°, I = 24
2θ = 56.9°, I = 18
2θ = 72.5°, I = 10
2θ = 77.6°, I = 10

***

Record 6
Starting from a structure optimized by DFT (PBE+U), the powder XRD pattern of K3Co2AgF9 was computed for copper Kα.
No peak broadening, texture or thermal motion is included.

Structure:
Lattice parameters (Å, degrees): 5.9378 5.9378 7.3364 90.00 90.00 120.00
Positions (direct):
K  0.0000  0.0000  0.0000
K  0.3333  0.6667  0.6648
K  0.6667  0.3333  0.3352
Co  0.3333  0.6667  0.1559
Co  0.6667  0.3333  0.8441
Ag  0.0000  0.0000  0.5000
F  0.0000  0.5000  0.0000
F  0.1757  0.3514  0.3150
F  0.1757  0.8243  0.3150
F  0.3514  0.1757  0.6850
F  0.5000  0.0000  0.0000
F  0.5000  0.5000  0.0000
F  0.6486  0.8243  0.3150
F  0.8243  0.1757  0.6850
F  0.8243  0.6486  0.6850

Most intense lines, 2θ = 15–90°, sorted by position:
2θ = 21.1°, I = 79
2θ = 29.9°, I = 93
2θ = 30.1°, I = 90
2θ = 43.0°, I = 100
2θ = 48.5°, I = 17
2θ = 53.0°, I = 18
2θ = 53.3°, I = 32
2θ = 62.2°, I = 27
2θ = 62.6°, I = 27
2θ = 86.7°, I = 17

***

Record 7
Starting from a structure optimized by DFT (PBE+U), the powder XRD pattern of LiCoAgF6 was computed for copper Kα.
No peak broadening, texture or thermal motion is included.

Structure:
Lattice parameters (Å, degrees): 5.1089 5.1089 9.5277 90.00 90.00 120.00
Positions (direct):
Li  0.3333  0.6667  0.2500
Li  0.6667  0.3333  0.7500
Co  0.3333  0.6667  0.7500
Co  0.6667  0.3333  0.2500
Ag  0.0000  0.0000  0.0000
Ag  0.0000  0.0000  0.5000
F  0.0259  0.3766  0.6398
F  0.0259  0.6493  0.8602
F  0.3507  0.3766  0.8602
F  0.3507  0.9741  0.6398
F  0.3766  0.0259  0.1398
F  0.3766  0.3507  0.3602
F  0.6234  0.6493  0.6398
F  0.6234  0.9741  0.8602
F  0.6493  0.0259  0.3602
F  0.6493  0.6234  0.1398
F  0.9741  0.3507  0.1398
F  0.9741  0.6234  0.3602

Most intense lines, 2θ = 15–90°, sorted by position:
2θ = 20.1°, I = 20
2θ = 22.2°, I = 26
2θ = 27.5°, I = 100
2θ = 35.1°, I = 18
2θ = 40.1°, I = 19
2θ = 43.1°, I = 11
2θ = 45.2°, I = 23
2θ = 52.5°, I = 37
2θ = 58.5°, I = 22
2θ = 63.0°, I = 14

***

Record 8
Starting from a structure optimized by DFT (PBE+U), the powder XRD pattern of MgCo2AgF8 was computed for copper Kα.
No peak broadening, texture or thermal motion is included.

Structure:
Lattice parameters (Å, degrees): 4.8089 4.8333 6.5545 90.22 90.18 90.41
Positions (direct):
Mg  0.0000  0.0000  0.0000
Co  0.4996  0.4993  0.7592
Co  0.5004  0.5007  0.2408
Ag  0.0000  0.0000  0.5000
F  0.2075  0.2043  0.2224
F  0.2099  0.2066  0.7860
F  0.2993  0.6975  0.9998
F  0.3189  0.6772  0.4996
F  0.6811  0.3228  0.5004
F  0.7007  0.3025  0.0002
F  0.7901  0.7934  0.2140
F  0.7925  0.7957  0.7776

Most intense lines, 2θ = 15–90°, sorted by position:
2θ = 22.9°, I = 35
2θ = 26.0°, I = 100
2θ = 26.2°, I = 90
2θ = 33.0°, I = 57
2θ = 33.1°, I = 61
2θ = 38.0°, I = 21
2θ = 50.6°, I = 68
2θ = 54.0°, I = 20
2θ = 56.1°, I = 19
2θ = 64.6°, I = 22

***

Record 9
Starting from a structure optimized by DFT (PBE+U), the powder XRD pattern of NaCoAg2F8 was computed for copper Kα.
No peak broadening, texture or thermal motion is included.

Structure:
Lattice parameters (Å, degrees): 6.7578 6.7578 6.7578 132.01 132.01 70.22
Positions (direct):
Na  0.0000  0.0000  0.0000
Co  0.2500  0.7500  0.5000
Ag  0.5000  0.5000  0.0000
Ag  0.7500  0.2500  0.5000
F  0.1027  0.5777  0.8883
F  0.1371  0.0280  0.4811
F  0.3440  0.8629  0.8909
F  0.4223  0.3105  0.5250
F  0.5469  0.6560  0.5189
F  0.6895  0.2145  0.1117
F  0.7855  0.8973  0.4750
F  0.9720  0.4531  0.1091

Most intense lines, 2θ = 15–90°, sorted by position:
2θ = 18.0°, I = 30
2θ = 28.1°, I = 100
2θ = 32.6°, I = 12
2θ = 37.5°, I = 13
2θ = 44.3°, I = 9
2θ = 46.6°, I = 39
2θ = 46.7°, I = 19
2θ = 55.2°, I = 14
2θ = 55.4°, I = 27
2θ = 75.1°, I = 11

***

Record 10
Starting from a structure optimized by DFT (PBE+U), the powder XRD pattern of CoAgPd2F8 was computed for copper Kα.
No peak broadening, texture or thermal motion is included.

Structure:
Lattice parameters (Å, degrees): 6.1817 6.1817 6.1817 113.36 113.36 101.95
Positions (direct):
Co  0.0000  0.0000  0.0000
Ag  0.2500  0.7500  0.5000
Pd  0.5000  0.5000  0.0000
Pd  0.7500  0.2500  0.5000
F  0.2890  0.1025  0.8135
F  0.2890  0.4754  0.1865
F  0.3400  0.0500  0.2901
F  0.5246  0.7110  0.8135
F  0.7599  0.0500  0.7099
F  0.8975  0.7110  0.1865
F  0.9500  0.2401  0.2901
F  0.9500  0.6600  0.7099

Most intense lines, 2θ = 15–90°, sorted by position:
2θ = 26.2°, I = 94
2θ = 29.5°, I = 100
2θ = 37.5°, I = 16
2θ = 46.7°, I = 12
2θ = 48.4°, I = 73
2θ = 54.0°, I = 17
2θ = 54.3°, I = 23
2θ = 61.0°, I = 13
2θ = 62.8°, I = 21
2θ = 80.2°, I = 13

***

Record 11
Starting from a structure optimized by DFT (PBE+U), the powder XRD pattern of CoAgPdF6 was computed for copper Kα.
No peak broadening, texture or thermal motion is included.

Structure:
Lattice parameters (Å, degrees): 4.9980 4.9980 9.8936 90.00 90.00 90.00
Positions (direct):
Co  0.0000  0.0000  0.0000
Co  0.5000  0.5000  0.5000
Ag  0.0000  0.0000  0.3367
Ag  0.5000  0.5000  0.8367
Pd  0.0000  0.0000  0.6626
Pd  0.5000  0.5000  0.1626
F  0.1739  0.1739  0.8539
F  0.1871  0.1871  0.1389
F  0.2321  0.2321  0.5054
F  0.2679  0.7321  0.0054
F  0.3129  0.6871  0.6389
F  0.3261  0.6739  0.3539
F  0.6739  0.3261  0.3539
F  0.6871  0.3129  0.6389
F  0.7321  0.2679  0.0054
F  0.7679  0.7679  0.5054
F  0.8129  0.8129  0.1389
F  0.8261  0.8261  0.8539

Most intense lines, 2θ = 15–90°, sorted by position:
2θ = 25.2°, I = 100
2θ = 32.5°, I = 71
2θ = 35.9°, I = 16
2θ = 49.2°, I = 64
2θ = 51.7°, I = 18
2θ = 58.4°, I = 13
2θ = 62.1°, I = 14
2θ = 62.5°, I = 20
2θ = 74.2°, I = 11
2θ = 85.3°, I = 11

***

Record 12
Starting from a structure optimized by DFT (PBE+U), the powder XRD pattern of ScCoAgF6 was computed for copper Kα.
No peak broadening, texture or thermal motion is included.

Structure:
Lattice parameters (Å, degrees): 5.5140 5.5140 10.3338 90.00 90.00 120.00
Positions (direct):
Sc  0.3333  0.6667  0.2500
Sc  0.6667  0.3333  0.7500
Co  0.3333  0.6667  0.7500
Co  0.6667  0.3333  0.2500
Ag  0.0000  0.0000  0.0000
Ag  0.0000  0.0000  0.5000
F  0.0030  0.3698  0.1453
F  0.0030  0.6333  0.3547
F  0.3667  0.3698  0.3547
F  0.3667  0.9970  0.1453
F  0.3698  0.0030  0.6453
F  0.3698  0.3667  0.8547
F  0.6302  0.6333  0.1453
F  0.6302  0.9970  0.3547
F  0.6333  0.0030  0.8547
F  0.6333  0.6302  0.6453
F  0.9970  0.3667  0.6453
F  0.9970  0.6302  0.8547

Most intense lines, 2θ = 15–90°, sorted by position:
2θ = 25.4°, I = 100
2θ = 32.5°, I = 24
2θ = 37.0°, I = 12
2θ = 41.7°, I = 22
2θ = 48.3°, I = 41
2θ = 53.8°, I = 23
2θ = 56.8°, I = 8
2θ = 57.9°, I = 15
2θ = 73.9°, I = 9
2θ = 76.4°, I = 8